Record 1
Simulated powder XRD pattern
Compound: U3CrSb5
Radiation: λ = 1.5418 Å (Cu Kα)
Structure: the PBE geometry in the Materials Project
Lines closer than 0.1° are merged.

The 10 most intense peaks (15 to 90 degrees two-theta), in order of rising 2θ:
index, 2θ/deg, intensity
1 1 1, 24.4, 290
0 0 2, 29.2, 262
2 1 1, 33.6, 1000
3 0 0, 34.3, 759
1 1 2, 35.4, 925
3 1 1, 44.2, 363
2 2 2, 50.1, 191
2 1 3, 54.6, 253
4 2 1, 64.7, 182
3 0 4, 71.4, 183

a b c (Å): 9.0635 9.0635 6.1258
angles (deg): 90.00 90.00 120.00
Space group P6_3/mcm (No. 193)
One atom of each set of equivalent atoms:
U: 0.0000 0.3889 0.2500 [6 per cell]
Cr: 0.0000 0.0000 0.0000 [2 per cell]
Sb: 0.0000 0.2571 0.7500 [6 per cell]
Sb: 0.3333 0.6667 0.0000 [4 per cell]

=====

Record 2
Simulated powder XRD pattern
Compound: DyCuGe
Radiation: λ = 1.5418 Å (Cu Kα)
Structure: the PBE geometry in the Materials Project
Lines closer than 0.1° are merged.

The 10 most intense peaks (15 to 90 degrees two-theta), in order of rising 2θ:
index, 2θ/deg, intensity
1 0 0, 24.3, 171
1 0 1, 34.4, 1000
1 1 0, 42.8, 468
0 0 2, 49.1, 104
1 0 2, 55.5, 38
2 0 1, 56.0, 245
1 1 2, 67.1, 238
2 1 1, 72.9, 220
3 0 0, 78.3, 76
1 0 3, 82.3, 80

a b c (Å): 4.2285 4.2285 3.7111
angles (deg): 90.00 90.00 120.00
Space group P-6m2 (No. 187)
One atom of each set of equivalent atoms:
Dy: 0.0000 0.0000 0.0000 [1 per cell]
Cu: 0.3333 0.6667 0.5000 [1 per cell]
Ge: 0.6667 0.3333 0.5000 [1 per cell]

=====

Record 3
Simulated powder XRD pattern
Compound: La2MgNi9
Radiation: λ = 1.5418 Å (Cu Kα)
Structure: the PBE geometry in the Materials Project
Lines closer than 0.1° are merged.

The 10 most intense peaks (15 to 90 degrees two-theta), in order of rising 2θ:
index, 2θ/deg, intensity
1 0 7, 33.3, 242
1 1 0, 36.0, 332
0 1 8, 36.4, 228
0 2 1, 42.0, 333
2 0 2, 42.5, 152
1 1 6, 42.7, 1000
0 0 12, 45.3, 205
2 0 5, 46.0, 188
0 3 6, 69.3, 222
2 2 0, 76.3, 198

a b c (Å): 4.9930 4.9930 24.0412
angles (deg): 90.00 90.00 120.00
Space group R3m (No. 160, hexagonal axes)
One atom of each set of equivalent atoms:
La: 0.0000 0.0000 0.0000 [3 per cell]
La: 0.0000 0.0000 0.1471 [3 per cell]
Mg: 0.0000 0.0000 0.8632 [3 per cell]
Ni: 0.0000 0.0000 0.3379 [3 per cell]
Ni: 0.0000 0.0000 0.5055 [3 per cell]
Ni: 0.0000 0.0000 0.6714 [3 per cell]
Ni: 0.1676 0.3352 0.2539 [9 per cell]
Ni: 0.1679 0.3358 0.4209 [9 per cell]

=====

Record 4
Simulated powder XRD pattern
Compound: K2Sn
Radiation: λ = 1.5418 Å (Cu Kα)
Structure: the PBE geometry in the Materials Project
Lines closer than 0.1° are merged.

The 10 most intense peaks (15 to 90 degrees two-theta), in order of rising 2θ:
index, 2θ/deg, intensity
1 1 1, 17.8, 772
2 2 0, 29.2, 1000
3 1 1, 34.4, 461
4 0 0, 41.8, 184
3 3 1, 45.7, 212
4 2 2, 51.8, 384
5 1 1, 55.2, 164
5 3 1, 63.7, 163
6 2 0, 68.7, 163
6 4 2, 83.7, 193

a b c (Å): 8.6460 8.6460 8.6460
angles (deg): 90.00 90.00 90.00
Space group Fm-3m (No. 225)
One atom of each set of equivalent atoms:
K: 0.2500 0.2500 0.2500 [8 per cell]
Sn: 0.0000 0.0000 0.0000 [4 per cell]

=====

Record 5
Simulated powder XRD pattern
Compound: MgTa2Zn2O8
Radiation: λ = 1.5418 Å (Cu Kα)
Structure: the PBE geometry in the Materials Project
Lines closer than 0.1° are merged.

The 10 most intense peaks (15 to 90 degrees two-theta), in order of rising 2θ:
index, 2θ/deg, intensity
1 1 0, 15.6, 461
4 0 0, 18.4, 555
1 1 1, 23.0, 1000
3 1 -1, 26.5, 367
5 1 0, 27.5, 599
5 1 -1, 32.4, 718
5 1 1, 32.5, 872
0 0 2, 34.1, 551
0 2 1, 34.6, 835
5 3 0, 51.8, 582

a b c (Å): 19.3000 5.9501 5.2590
angles (deg): 90.00 90.27 90.00
Space group C2/c (No. 15)
One atom of each set of equivalent atoms:
Mg: 0.0000 0.1460 0.2500 [4 per cell]
Ta: 0.1148 0.3395 0.7378 [8 per cell]
Zn: 0.2201 0.1538 0.2390 [8 per cell]
O: 0.0585 0.1250 0.5900 [8 per cell]
O: 0.0699 0.3857 0.0744 [8 per cell]
O: 0.1799 0.3981 0.4435 [8 per cell]
O: 0.1925 0.1459 0.8687 [8 per cell]

=====

Record 6
Simulated powder XRD pattern
Compound: WSCl4
Radiation: λ = 1.5418 Å (Cu Kα)
Structure: the PBE geometry in the Materials Project
Lines closer than 0.1° are merged.

The 10 most intense peaks (15 to 90 degrees two-theta), in order of rising 2θ:
index, 2θ/deg, intensity
1 0 -1, 16.7, 565
1 -1 0, 16.9, 773
0 1 1, 17.5, 1000
1 0 1, 18.1, 994
1 1 -1, 19.5, 385
0 0 2, 22.5, 463
0 2 0, 22.9, 418
1 0 2, 27.2, 518
2 1 -2, 34.8, 427
1 -3 0, 36.3, 403

a b c (Å): 6.7087 7.9466 8.0722
angles (deg): 101.24 94.14 93.26
Space group P-1 (No. 2)
One atom of each set of equivalent atoms:
W: 0.1416 0.2127 0.2601 [2 per cell]
S: 0.3203 0.2709 0.4918 [2 per cell]
Cl: 0.0189 0.4695 0.2271 [2 per cell]
Cl: 0.1674 0.9210 0.1708 [2 per cell]
Cl: 0.1705 0.8583 0.6613 [2 per cell]
Cl: 0.3611 0.2536 0.0635 [2 per cell]